Calculated X-ray diffraction stick pattern of Li3V2OF7 for a wavelength of 1.5418 Å, from a cell relaxed with GGA+U.
Neutral-atom scattering factors, no anomalous dispersion.

Main lines, sorted by position (2θ = 5–70°):
2theta	d (Å)	intensity
17.96	4.938	69
18.77	4.727	100
21.43	4.147	38
28.79	3.101	16
30.09	2.970	22
34.14	2.626	25
34.59	2.593	27
42.13	2.145	77
43.65	2.074	35
56.69	1.624	15
61.12	1.516	24
63.42	1.467	19

Atomic structure:
```
Li3V2OF7
1.0
4.993 -3.101 0.000
4.993 3.101 0.000
-3.312 0.000 4.938
Li V O F
3 2 1 7
direct
0.000 0.000 0.000
0.237 0.237 0.748
0.607 0.607 0.869
0.124 0.604 0.386
0.604 0.124 0.386
0.360 0.360 0.583
0.346 0.851 0.617
0.363 0.363 0.144
0.386 0.875 0.115
0.851 0.346 0.617
0.865 0.865 0.607
0.869 0.869 0.159
0.875 0.386 0.115
```